Entry 1:
Starting from a structure optimized by DFT (PBE+U), the X-ray diffraction stick pattern of Li3Mn4CrO8 was calculated for CuKα.
Lines closer than 0.1° are merged.

Atomic structure:
a b c (Å): 10.7439 5.9902 5.9986
angles (deg): 90.00 123.73 90.00
Space group C2/m (No. 12)
Inequivalent atoms, fractional coordinates:
Li 0.0000 0.0000 0.0000 [2 per cell]
Li 0.2500 0.2500 0.5000 [4 per cell]
Mn 0.0000 0.0000 0.5000 [2 per cell]
Mn 0.0000 0.5000 0.0000 [2 per cell]
Mn 0.2500 0.2500 0.0000 [4 per cell]
Cr 0.0000 0.5000 0.5000 [2 per cell]
O 0.0055 0.2584 0.2633 [8 per cell]
O 0.2304 0.5000 0.7503 [4 per cell]
O 0.2488 0.0000 0.7678 [4 per cell]

Largest 10 diffraction maxima, sorted by position, 2θ from 5° to 70°:
two_theta, I (rel.), hkl
17.83, 100, 2 0 -1
33.55, 15, 2 0 1
34.94, 26, 0 2 1
36.07, 35, 0 0 2
36.13, 12, 4 0 -2
40.38, 56, 4 0 0
42.66, 94, 2 2 -2
60.10, 29, 2 2 2
60.27, 28, 6 2 -2
61.92, 26, 0 4 0



Entry 2:
Starting from a structure optimized by DFT (PBE+U), the X-ray diffraction stick pattern of Li3MnCr3O8 was calculated for CuKα.
Lines closer than 0.1° are merged.

Atomic structure:
a b c (Å): 10.2540 5.8818 5.9309
angles (deg): 90.00 124.81 90.00
Space group C2/m (No. 12)
Inequivalent atoms, fractional coordinates:
Li 0.0000 0.0000 0.0000 [2 per cell]
Li 0.2500 0.2500 0.0000 [4 per cell]
Mn 0.0000 0.5000 0.5000 [2 per cell]
Cr 0.0000 0.0000 0.5000 [2 per cell]
Cr 0.2500 0.2500 0.5000 [4 per cell]
O 0.0094 0.2531 0.2869 [8 per cell]
O 0.2349 0.0000 0.7149 [4 per cell]
O 0.2362 0.5000 0.7222 [4 per cell]

Largest 10 diffraction maxima, sorted by position, 2θ from 5° to 70°:
two_theta, I (rel.), hkl
18.22, 100, 0 0 1
35.51, 12, 4 0 -1
35.75, 24, 2 2 -1
37.28, 9, 4 0 -2
42.97, 23, 4 0 0
43.33, 45, 2 2 -2
47.22, 7, 2 2 1
57.11, 9, 2 2 -3
62.44, 11, 2 2 2
62.90, 12, 6 2 -2



Entry 3:
Starting from a structure optimized by DFT (PBE+U), the X-ray diffraction stick pattern of Li2Mn3CrO8 was calculated for CuKα.
Lines closer than 0.1° are merged.

Atomic structure:
a b c (Å): 5.9339 5.9339 14.4743
angles (deg): 90.00 90.00 120.00
Space group R-3m (No. 166, hexagonal axes)
Inequivalent atoms, fractional coordinates:
Li 0.0000 0.0000 0.1220 [6 per cell]
Mn 0.0000 0.5000 0.0000 [9 per cell]
Cr 0.0000 0.0000 0.5000 [3 per cell]
O 0.0000 0.0000 0.2599 [6 per cell]
O 0.0346 0.5173 0.2573 [18 per cell]

Largest 10 diffraction maxima, sorted by position, 2θ from 5° to 70°:
two_theta, I (rel.), hkl
18.34, 100, 0 0 3
35.51, 36, 0 2 1
35.60, 10, 0 1 5
37.13, 7, 2 0 2
43.18, 56, 0 2 4
47.24, 7, 2 0 5
57.08, 15, 0 3 3
62.62, 17, 2 2 0
62.82, 16, 2 0 8
65.86, 7, 2 2 3



Entry 4:
Starting from a structure optimized by DFT (PBE+U), the X-ray diffraction stick pattern of Li4MnCrO6 was calculated for CuKα.
Lines closer than 0.1° are merged.

Atomic structure:
a b c (Å): 5.0143 8.7312 9.7759
angles (deg): 98.54 94.55 90.10
Space group P1 (No. 1)
Inequivalent atoms, fractional coordinates:
Li 0.0000 0.0000 0.0000 [1 per cell]
Li 0.0014 0.3297 0.9984 [1 per cell]
Li 0.0099 0.6587 0.9988 [1 per cell]
Li 0.1283 0.4551 0.7486 [1 per cell]
Li 0.2462 0.2478 0.4997 [1 per cell]
Li 0.2561 0.5782 0.5005 [1 per cell]
Li 0.2619 0.9113 0.4980 [1 per cell]
Li 0.3811 0.7035 0.2485 [1 per cell]
Li 0.4973 0.4992 0.9984 [1 per cell]
Li 0.5056 0.8272 0.9987 [1 per cell]
Li 0.5090 0.1601 0.9964 [1 per cell]
Li 0.6247 0.9552 0.7493 [1 per cell]
Li 0.7427 0.7451 0.4990 [1 per cell]
Li 0.7556 0.0799 0.4985 [1 per cell]
Li 0.7617 0.4135 0.5010 [1 per cell]
Li 0.8778 0.2050 0.2493 [1 per cell]
Mn 0.1308 0.1224 0.7503 [1 per cell]
Mn 0.6269 0.6189 0.7476 [1 per cell]
Mn 0.6286 0.2881 0.7486 [1 per cell]
Mn 0.8793 0.8714 0.2488 [1 per cell]
Cr 0.1206 0.7898 0.7490 [1 per cell]
Cr 0.3735 0.3675 0.2479 [1 per cell]
Cr 0.3855 0.0368 0.2502 [1 per cell]
Cr 0.8813 0.5412 0.2484 [1 per cell]
O 0.0377 0.7224 0.3597 [1 per cell]
O 0.0723 0.0434 0.3608 [1 per cell]
O 0.0846 0.4019 0.3631 [1 per cell]
O 0.1721 0.5068 0.1344 [1 per cell]
O 0.1810 0.8665 0.1376 [1 per cell]
O 0.2216 0.1888 0.1373 [1 per cell]
O 0.2905 0.9774 0.8621 [1 per cell]
O 0.3254 0.2948 0.8602 [1 per cell]
O 0.3273 0.6536 0.8620 [1 per cell]
O 0.4322 0.1148 0.6377 [1 per cell]
O 0.4317 0.7548 0.6356 [1 per cell]
O 0.4675 0.4348 0.6378 [1 per cell]
O 0.5348 0.2178 0.3610 [1 per cell]
O 0.5783 0.5423 0.3601 [1 per cell]
O 0.5787 0.9003 0.3632 [1 per cell]
O 0.6803 0.3661 0.1374 [1 per cell]
O 0.6837 0.0055 0.1359 [1 per cell]
O 0.7157 0.6896 0.1362 [1 per cell]
O 0.7883 0.4724 0.8596 [1 per cell]
O 0.8255 0.1524 0.8620 [1 per cell]
O 0.8287 0.7912 0.8600 [1 per cell]
O 0.9269 0.6124 0.6357 [1 per cell]
O 0.9315 0.2561 0.6360 [1 per cell]
O 0.9745 0.9352 0.6382 [1 per cell]

Largest 10 diffraction maxima, sorted by position, 2θ from 5° to 70°:
two_theta, I (rel.), hkl
18.41, 100, 0 0 2
20.41, 20, 1 -1 0
21.26, 17, 0 2 -1
21.39, 18, 1 1 -1
23.83, 24, 1 1 1
36.20, 22, 1 -3 1
36.41, 11, 2 0 -1
43.77, 69, 1 -3 3
44.09, 34, 2 0 -3
57.66, 11, 1 3 4